Hf2GaRh6: computed X-ray diffraction stick pattern (Cu Kα X-rays), based on a cell relaxed with PBE.
Kinematic intensities with the Lorentz-polarization factor, no thermal factor.

Cell and atoms:
abc: 7.276 7.276 4.235
angles: 106.88 106.88 49.03
Fractional coordinates of all 9 atoms:
Hf 0.164 0.164 0.162
Hf 0.836 0.836 0.838
Ga 0.500 0.500 0.500
Rh 0.093 0.581 0.338
Rh 0.266 0.734 0.000
Rh 0.419 0.907 0.662
Rh 0.581 0.093 0.338
Rh 0.734 0.266 0.000
Rh 0.907 0.419 0.662

Most intense lines, 10° ≤ 2θ ≤ 90°, low angle first:
2θ/deg, intensity
25.69, 24.4
25.91, 25.3
42.67, 100.0
43.26, 19.2
62.40, 12.8
78.13, 19.6